(1)
For FeP2H8O10, the GGA+U geometry in the Materials Project gives the calculated powder diffraction line list in this record (Cu Kα X-rays).
No peak broadening, texture or thermal motion is included.

Structure:
```
data_FeP2H8O10
_space_group_name_H-M_alt 'P 1 21/c 1'
_space_group_IT_number 14
_cell_length_a 6.0664
_cell_length_b 9.7482
_cell_length_c 8.7511
_cell_angle_alpha 90.00
_cell_angle_beta 125.24
_cell_angle_gamma 90.00
loop_
_space_group_symop_operation_xyz
'x,y,z'
'-x,-y,-z'
'-x,y+1/2,-z+1/2'
'x,-y+1/2,z+1/2'
loop_
_atom_site_label
_atom_site_type_symbol
_atom_site_fract_x
_atom_site_fract_y
_atom_site_fract_z
Fe1 Fe 0.0000 0.0000 0.0000
P1 P 0.4759 0.1909 0.6638
H1 H 0.0869 0.5728 0.7939
H2 H 0.1974 0.0633 0.6943
H3 H 0.2601 0.1254 0.9620
H4 H 0.3671 0.7254 0.0134
O1 O 0.0903 0.0404 0.8147
O2 O 0.2321 0.0936 0.5965
O3 O 0.3077 0.6764 0.6268
O4 O 0.3775 0.1566 0.1119
O5 O 0.4158 0.6492 0.9556
```

Largest 10 diffraction maxima, in order of rising 2θ, 5 to 70 degrees two-theta:
hkl	2θ/deg	I_rel
0 1 1	15.37	22
1 1 -1	17.34	41
1 0 -2	20.61	39
0 2 1	22.07	41
1 1 -2	22.56	23
1 2 0	25.64	100
0 1 2	26.57	20
1 1 1	28.71	26
0 3 1	30.21	17
2 3 -1	41.59	15



(2)
For FeP3H6O12, the GGA+U geometry in the Materials Project gives the calculated powder diffraction line list in this record (Cu Kα X-rays).
No peak broadening, texture or thermal motion is included.

Structure:
```
data_FeP3H6O12
_space_group_name_H-M_alt 'R -3 c'
_space_group_IT_number 167
_space_group_name_Hall '-R 3 2"c'
_cell_length_a 8.6289
_cell_length_b 8.6289
_cell_length_c 25.6627
_cell_angle_alpha 90.00
_cell_angle_beta 90.00
_cell_angle_gamma 120.00
loop_
_atom_site_label
_atom_site_type_symbol
_atom_site_fract_x
_atom_site_fract_y
_atom_site_fract_z
Fe1 Fe 0.0000 0.0000 0.0000
P1 P 0.0000 0.4067 0.2500
H1 H 0.0835 0.2476 0.3996
O1 O 0.0298 0.4621 0.5512
O2 O 0.1012 0.2210 0.0470
```

Largest 10 diffraction maxima, in order of rising 2θ, 5 to 70 degrees two-theta:
hkl	2θ/deg	I_rel
0 1 2	13.71	100
0 0 6	20.77	10
1 1 3	23.09	35
0 2 4	27.63	43
1 1 6	29.41	27
0 3 6	41.94	14
1 2 8	42.66	10
2 1 10	47.89	6
3 0 12	56.73	7
1 3 10	57.12	8